# 1
AlH3O3: calculated X-ray powder pattern (Cu Kα (λ = 1.5418 Å)), based on a structure optimized by DFT (PBE).
Neutral-atom scattering factors, no anomalous dispersion.

Cell and atoms:
Cell lengths 5.231, 9.466, 8.667 Å; angles 90.00, 91.43, 90.00 degrees
Space group Pc (No. 7)
Asymmetric unit:
Al 0.000 0.248 0.000 x2
Al 0.010 0.252 0.341 x2
Al 0.491 0.248 0.839 x2
Al 0.518 0.251 0.500 x2
H 0.140 0.412 0.762 x2
H 0.195 0.130 0.645 x2
H 0.225 0.459 0.459 x2
H 0.291 0.041 0.962 x2
H 0.306 0.380 0.173 x2
H 0.366 0.086 0.264 x2
H 0.647 0.392 0.088 x2
H 0.701 0.121 0.166 x2
H 0.718 0.461 0.385 x2
H 0.805 0.380 0.678 x2
H 0.818 0.044 0.470 x2
H 0.850 0.095 0.763 x2
O 0.123 0.363 0.168 x2
O 0.189 0.360 0.855 x2
O 0.206 0.358 0.486 x2
O 0.307 0.142 0.987 x2
O 0.319 0.139 0.356 x2
O 0.379 0.137 0.665 x2
O 0.622 0.361 0.674 x2
O 0.692 0.358 0.986 x2
O 0.702 0.361 0.355 x2
O 0.796 0.136 0.860 x2
O 0.834 0.145 0.494 x2
O 0.884 0.138 0.172 x2

Principal peaks in the range 2θ = 15–90°, in order of rising 2θ:
d (Å), I_rel, h k l
4.733, 100, 0 2 0
4.332, 26, 0 0 2
4.084, 36, 1 1 -1
4.011, 36, 1 1 1
2.520, 20, 2 1 0
2.249, 34, 1 2 -3
2.212, 34, 1 2 3
1.986, 21, 1 3 -3
1.960, 19, 1 3 3
1.755, 21, 2 4 0

***

# 2
AlH3O3: calculated X-ray powder pattern (Cu Kα (λ = 1.5418 Å)), based on a structure optimized by DFT (PBE).
Neutral-atom scattering factors, no anomalous dispersion.

Cell and atoms:
Cell lengths 5.066, 5.070, 5.257 Å; angles 106.88, 96.29, 118.07 degrees
Space group P-1 (No. 2)
Asymmetric unit:
Al 0.169 0.329 0.004 x2
H 0.064 0.634 0.411 x2
H 0.285 0.171 0.409 x2
H 0.457 0.088 0.791 x2
O 0.053 0.519 0.781 x2
O 0.200 0.088 0.206 x2
O 0.434 0.267 0.782 x2

Principal peaks in the range 2θ = 15–90°, in order of rising 2θ:
d (Å), I_rel, h k l
4.812, 100, 0 0 1
4.317, 19, 1 -1 0
4.276, 20, 1 0 0
3.992, 16, 0 1 -1
3.792, 13, 1 0 -1
2.401, 36, 1 1 0
2.334, 33, -2 1 1
2.031, 33, 1 -2 2
1.875, 22, 1 1 1
1.839, 22, -2 1 2

***

# 3
AlH3O3: calculated X-ray powder pattern (Cu Kα (λ = 1.5418 Å)), based on a structure optimized by DFT (PBE).
Neutral-atom scattering factors, no anomalous dispersion.

Cell and atoms:
Cell lengths 5.123, 8.763, 10.779 Å; angles 90.00, 118.10, 90.00 degrees
Space group P2_1/c (No. 14)
Asymmetric unit:
Al 0.029 0.166 0.004 x4
Al 0.465 0.668 0.996 x4
H 0.033 0.729 0.289 x4
H 0.066 0.038 0.374 x4
H 0.253 0.506 0.707 x4
H 0.290 0.096 0.646 x4
H 0.329 0.083 0.886 x4
H 0.388 0.707 0.205 x4
O 0.164 0.695 0.385 x4
O 0.235 0.509 0.612 x4
O 0.244 0.179 0.897 x4
O 0.256 0.674 0.107 x4
O 0.265 0.011 0.390 x4
O 0.338 0.192 0.616 x4

Principal peaks in the range 2θ = 15–90°, in order of rising 2θ:
d (Å), I_rel, h k l
4.754, 100, 0 0 2
4.423, 54, 1 1 -1
4.381, 26, 0 2 0
3.245, 11, 1 1 1
3.227, 24, 0 2 2
2.251, 39, 2 0 -4
2.241, 83, 1 3 1
1.737, 44, 1 3 3
1.474, 14, 3 3 -3
1.343, 15, 1 3 -7

***

# 4
AlH3O3: calculated X-ray powder pattern (Cu Kα (λ = 1.5418 Å)), based on a structure optimized by DFT (PBE).
Neutral-atom scattering factors, no anomalous dispersion.

Cell and atoms:
Cell lengths 5.136, 8.864, 9.556 Å; angles 83.06, 89.08, 89.32 degrees
Space group P1 (No. 1)
Asymmetric unit:
Al 0.000 0.000 0.000 x1
Al 0.003 0.662 0.997 x1
Al 0.478 0.993 0.495 x1
Al 0.483 0.657 0.492 x1
Al 0.499 0.163 0.996 x1
Al 0.503 0.494 0.996 x1
Al 0.977 0.159 0.494 x1
Al 0.990 0.491 0.496 x1
H 0.075 0.722 0.609 x1
H 0.135 0.957 0.697 x1
H 0.162 0.205 0.797 x1
H 0.177 0.315 0.103 x1
H 0.196 0.552 0.788 x1
H 0.263 0.049 0.203 x1
H 0.296 0.548 0.287 x1
H 0.307 0.301 0.598 x1
H 0.327 0.837 0.891 x1
H 0.343 0.229 0.313 x1
H 0.364 0.858 0.286 x1
H 0.415 0.724 0.114 x1
H 0.574 0.787 0.701 x1
H 0.634 0.434 0.689 x1
H 0.654 0.951 0.834 x1
H 0.662 0.133 0.697 x1
H 0.666 0.351 0.385 x1
H 0.742 0.620 0.793 x1
H 0.765 0.607 0.292 x1
H 0.787 0.101 0.205 x1
H 0.828 0.341 0.883 x1
H 0.853 0.428 0.184 x1
H 0.865 0.797 0.202 x1
H 0.895 0.929 0.388 x1
O 0.117 0.310 0.604 x1
O 0.138 0.846 0.887 x1
O 0.163 0.999 0.598 x1
O 0.169 0.626 0.606 x1
O 0.192 0.528 0.891 x1
O 0.194 0.156 0.893 x1
O 0.284 0.144 0.380 x1
O 0.303 0.006 0.114 x1
O 0.308 0.516 0.390 x1
O 0.316 0.632 0.107 x1
O 0.357 0.837 0.388 x1
O 0.367 0.318 0.107 x1
O 0.607 0.812 0.600 x1
O 0.638 0.344 0.884 x1
O 0.655 0.139 0.594 x1
O 0.678 0.504 0.605 x1
O 0.695 0.659 0.882 x1
O 0.704 0.035 0.883 x1
O 0.794 0.023 0.384 x1
O 0.799 0.649 0.380 x1
O 0.806 0.134 0.102 x1
O 0.807 0.506 0.106 x1
O 0.856 0.342 0.381 x1
O 0.862 0.816 0.099 x1

Principal peaks in the range 2θ = 15–90°, in order of rising 2θ:
d (Å), I_rel, h k l
4.742, 100, 0 0 2
4.400, 27, 0 2 0
4.152, 19, 1 1 1
4.079, 17, -1 1 1
3.927, 32, 1 -1 1
2.469, 11, 2 0 -1
2.366, 22, 1 3 2
2.332, 17, -1 3 2
2.152, 29, 1 3 -2
1.889, 19, 1 -3 3

***

# 5
AlH3O3: calculated X-ray powder pattern (Cu Kα (λ = 1.5418 Å)), based on a structure optimized by DFT (PBE).
Neutral-atom scattering factors, no anomalous dispersion.

Cell and atoms:
Cell lengths 5.236, 9.459, 8.679 Å; angles 90.00, 92.24, 90.00 degrees
Space group P2_1 (No. 4)
Asymmetric unit:
Al 0.006 0.000 0.400 x2
Al 0.023 0.015 0.056 x2
Al 0.485 0.524 0.463 x2
Al 0.491 0.519 0.105 x2
H 0.135 0.701 0.150 x2
H 0.137 0.404 0.260 x2
H 0.183 0.724 0.484 x2
H 0.207 0.688 0.751 x2
H 0.211 0.113 0.703 x2
H 0.218 0.808 0.936 x2
H 0.308 0.225 0.020 x2
H 0.312 0.871 0.251 x2
H 0.321 0.304 0.581 x2
H 0.345 0.391 0.856 x2
H 0.360 0.293 0.322 x2
H 0.388 0.115 0.275 x2
O 0.085 0.613 0.768 x2
O 0.135 0.894 0.220 x2
O 0.162 0.621 0.459 x2
O 0.183 0.621 0.084 x2
O 0.204 0.907 0.904 x2
O 0.230 0.916 0.526 x2
O 0.291 0.403 0.962 x2
O 0.305 0.405 0.601 x2
O 0.324 0.398 0.277 x2
O 0.327 0.122 0.040 x2
O 0.382 0.152 0.380 x2
O 0.397 0.122 0.716 x2

Principal peaks in the range 2θ = 15–90°, in order of rising 2θ:
d (Å), I_rel, h k l
4.730, 100, 0 2 0
4.336, 23, 0 0 2
4.107, 24, 1 1 -1
3.993, 34, 1 1 1
2.521, 21, 2 1 0
2.260, 23, 1 2 -3
2.203, 29, 1 2 3
1.994, 24, 1 3 -3
1.954, 18, 1 3 3
1.754, 18, 2 4 0

***

# 6
AlH3O3: calculated X-ray powder pattern (Cu Kα (λ = 1.5418 Å)), based on a structure optimized by DFT (PBE).
Neutral-atom scattering factors, no anomalous dispersion.

Cell and atoms:
Cell lengths 5.124, 8.756, 9.352 Å; angles 95.46, 91.28, 90.53 degrees
Space group P1 (No. 1)
Asymmetric unit:
Al 0.000 0.000 0.000 x1
Al 0.005 0.799 0.518 x1
Al 0.471 0.301 0.520 x1
Al 0.486 0.500 0.030 x1
Al 0.526 0.967 0.517 x1
Al 0.546 0.833 0.996 x1
Al 0.933 0.336 0.033 x1
Al 0.962 0.468 0.525 x1
H 0.122 0.041 0.399 x1
H 0.140 0.279 0.315 x1
H 0.153 0.522 0.227 x1
H 0.157 0.744 0.130 x1
H 0.169 0.670 0.898 x1
H 0.190 0.111 0.647 x1
H 0.216 0.891 0.245 x1
H 0.254 0.376 0.794 x1
H 0.301 0.938 0.805 x1
H 0.320 0.606 0.419 x1
H 0.325 0.201 0.127 x1
H 0.332 0.233 0.882 x1
H 0.356 0.538 0.698 x1
H 0.432 0.750 0.660 x1
H 0.652 0.414 0.305 x1
H 0.657 0.761 0.311 x1
H 0.678 0.019 0.217 x1
H 0.680 0.134 0.869 x1
H 0.760 0.427 0.809 x1
H 0.793 0.164 0.387 x1
H 0.825 0.652 0.131 x1
H 0.826 0.932 0.728 x1
H 0.847 0.243 0.677 x1
H 0.858 0.683 0.735 x1
O 0.130 0.615 0.411 x1
O 0.134 0.182 0.122 x1
O 0.140 0.296 0.421 x1
O 0.152 0.507 0.121 x1
O 0.200 0.939 0.401 x1
O 0.210 0.853 0.135 x1
O 0.276 0.340 0.895 x1
O 0.277 0.446 0.645 x1
O 0.325 0.978 0.907 x1
O 0.330 0.833 0.627 x1
O 0.358 0.655 0.904 x1
O 0.373 0.136 0.631 x1
O 0.616 0.131 0.406 x1
O 0.640 0.680 0.128 x1
O 0.644 0.363 0.138 x1
O 0.647 0.444 0.415 x1
O 0.700 0.815 0.406 x1
O 0.708 0.988 0.116 x1
O 0.778 0.335 0.640 x1
O 0.780 0.470 0.910 x1
O 0.833 0.843 0.889 x1
O 0.843 0.965 0.628 x1
O 0.859 0.161 0.900 x1
O 0.865 0.651 0.631 x1

Principal peaks in the range 2θ = 15–90°, in order of rising 2θ:
d (Å), I_rel, h k l
4.653, 100, 0 0 2
4.358, 27, 0 2 0
4.084, 21, 1 1 -1
4.051, 19, 1 -1 1
3.962, 17, -1 1 1
3.873, 17, 1 1 1
2.455, 16, 2 0 1
2.302, 37, 1 3 -2
2.165, 17, -1 3 2
2.130, 16, 1 3 2